Starting from a DFT-relaxed cell (PBE+U, Alexandria), the powder diffraction line list of Ca3Fe5Sn3O16 was simulated for CuKα.
No peak broadening, texture or thermal motion is included.

Peak list (8 most intense, 10° ≤ 2θ ≤ 80°, in order of falling intensity)
- 32.79 deg, intensity 100
- 34.47 deg, intensity 97
- 18.98 deg, intensity 80
- 34.29 deg, intensity 63
- 48.60 deg, intensity 54
- 33.37 deg, intensity 41
- 59.37 deg, intensity 32
- 18.65 deg, intensity 30

Structural model:
```
data_Ca3Fe5Sn3O16
_chemical_formula_sum 'Ca3 Fe5 Sn3 O16'
_cell_length_a 9.356
_cell_length_b 3.131
_cell_length_c 10.928
_cell_angle_alpha 90.00
_cell_angle_beta 91.14
_cell_angle_gamma 90.00
_space_group_name_H-M_alt 'P 1 m 1'
_space_group_IT_number 6
loop_
_space_group_symop_operation_xyz
'x,y,z'
'x,-y,z'
loop_
_atom_site_label
_atom_site_fract_x
_atom_site_fract_y
_atom_site_fract_z
Ca1 0.000 0.000 0.000
Ca2 0.018 0.500 0.483
Ca3 0.497 0.000 0.190
Fe1 0.172 0.500 0.229
Fe2 0.316 0.000 0.960
Fe3 0.335 0.000 0.440
Fe4 0.822 0.000 0.221
Fe5 0.840 0.000 0.730
Sn1 0.214 0.500 0.728
Sn2 0.661 0.500 0.929
Sn3 0.686 0.500 0.452
O1 0.061 0.000 0.680
O2 0.136 0.000 0.357
O3 0.181 0.500 0.921
O4 0.241 0.000 0.122
O5 0.271 0.500 0.548
O6 0.343 0.000 0.785
O7 0.371 0.500 0.317
O8 0.453 0.500 0.003
O9 0.548 0.000 0.484
O10 0.644 0.000 0.806
O11 0.668 0.500 0.263
O12 0.722 0.000 0.049
O13 0.804 0.500 0.618
O14 0.841 0.000 0.412
O15 0.879 0.500 0.860
O16 0.974 0.500 0.162
```